1.
Simulated powder X-ray diffraction pattern
Compound: PuZn4Pd
Radiation: Cu Ka
Structure: a DFT-relaxed cell (PBE, Alexandria)
Peak positions follow from Bragg's law for the DFT cell and can differ from measured ones.

Structure:
```
PuZn4Pd
1.0
8.806 0.000 0.000
0.000 2.844 0.000
0.000 0.000 8.239
Pu Zn Pd
2 8 2
Cartesian
2.201 0.000 0.333
6.604 0.000 7.906
0.000 0.000 4.120
0.198 1.422 6.571
2.201 1.422 3.120
4.205 1.422 6.571
4.403 0.000 4.120
4.601 1.422 1.669
6.604 1.422 5.119
8.608 1.422 1.669
2.201 0.000 5.470
6.604 0.000 2.769
```

Largest 12 diffraction maxima, sorted by position, 2θ = 10–90°:
2θ = 10.74°, I 28; 2θ = 20.17°, I 42; 2θ = 22.90°, I 33; 2θ = 29.70°, I 31; 2θ = 34.20°, I 27; 2θ = 37.65°, I 61; 2θ = 38.46°, I 46; 2θ = 38.64°, I 100; 2θ = 39.26°, I 85; 2θ = 39.85°, I 62; 2θ = 41.00°, I 62; 2θ = 66.43°, I 39

2.
Simulated powder X-ray diffraction pattern
Compound: Tb12Sm2Tm5
Radiation: Cu Ka
Structure: a DFT-relaxed cell (PBE, Alexandria)
Peak positions follow from Bragg's law for the DFT cell and can differ from measured ones.

Structure:
```
Tb12Sm2Tm5
1.0
7.859 -4.597 0.000
7.859 4.597 0.000
-0.131 0.000 8.513
Tb Sm Tm
12 2 5
Cartesian
0.896 0.000 2.835
5.831 2.827 2.916
5.305 1.667 6.454
9.756 2.827 5.597
6.384 0.000 0.997
10.282 1.667 2.059
5.305 -1.667 6.454
9.204 0.000 7.516
5.831 -2.827 2.916
10.282 -1.667 2.059
9.756 -2.827 5.597
14.692 0.000 5.678
7.859 2.943 0.000
7.859 -2.943 0.000
3.102 0.000 0.100
4.168 0.000 3.629
7.794 0.000 4.256
11.420 0.000 4.884
12.486 0.000 8.413
```

Largest 12 diffraction maxima, sorted by position, 2θ = 10–90°:
2θ = 28.58°, I 30; 2θ = 30.69°, I 72; 2θ = 31.22°, I 56; 2θ = 31.55°, I 87; 2θ = 31.72°, I 100; 2θ = 31.87°, I 46; 2θ = 33.45°, I 72; 2θ = 35.63°, I 48; 2θ = 36.54°, I 37; 2θ = 55.64°, I 32; 2θ = 59.13°, I 31; 2θ = 60.24°, I 39

3.
Simulated powder X-ray diffraction pattern
Compound: Gd3Te
Radiation: Cu Ka
Structure: a DFT-relaxed cell (PBE, Alexandria)
Peak positions follow from Bragg's law for the DFT cell and can differ from measured ones.

Structure:
```
Gd3Te
1.0
-1.912 2.754 5.833
1.912 -2.754 5.833
1.912 2.754 -5.833
Gd Te
3 1
Cartesian
0.000 0.000 0.000
1.912 0.000 3.304
0.000 2.754 2.529
0.000 0.000 5.833
```

Largest 12 diffraction maxima, sorted by position, 2θ = 10–90°:
2θ = 28.09°, I 10; 2θ = 30.66°, I 22; 2θ = 32.37°, I 100; 2θ = 32.52°, I 27; 2θ = 45.29°, I 15; 2θ = 47.56°, I 9; 2θ = 55.59°, I 10; 2θ = 57.65°, I 7; 2θ = 57.93°, I 19; 2θ = 58.80°, I 10; 2θ = 67.77°, I 9; 2θ = 78.80°, I 8

4.
Simulated powder X-ray diffraction pattern
Compound: Th5CSe5
Radiation: Cu Ka
Structure: a DFT-relaxed cell (PBE, Alexandria)
Peak positions follow from Bragg's law for the DFT cell and can differ from measured ones.

Structure:
```
Th5CSe5
1.0
6.469 -2.917 0.000
6.469 2.917 0.000
-2.704 0.000 7.803
Th C Se
5 1 5
Cartesian
0.000 0.000 0.000
4.074 0.000 1.116
2.644 0.000 5.491
7.589 0.000 2.312
6.159 0.000 6.687
6.469 0.000 0.000
-0.187 0.000 6.288
1.342 0.000 2.668
5.117 0.000 3.901
8.891 0.000 5.135
10.420 0.000 1.515
```

Largest 12 diffraction maxima, sorted by position, 2θ = 10–90°:
2θ = 11.34°, I 16; 2θ = 26.45°, I 27; 2θ = 26.69°, I 28; 2θ = 30.67°, I 100; 2θ = 30.97°, I 43; 2θ = 31.85°, I 15; 2θ = 36.30°, I 18; 2θ = 43.91°, I 50; 2θ = 44.13°, I 33; 2θ = 44.47°, I 15; 2θ = 54.45°, I 15; 2θ = 54.96°, I 19

5.
Simulated powder X-ray diffraction pattern
Compound: Pr6SmY8
Radiation: Cu Ka
Structure: a DFT-relaxed cell (PBE, Alexandria)
Peak positions follow from Bragg's law for the DFT cell and can differ from measured ones.

Structure:
```
Pr6SmY8
1.0
4.592 2.651 7.070
-4.592 2.651 7.070
0.000 -5.302 7.070
Pr Sm Y
6 1 8
Cartesian
-2.582 -2.183 9.670
-3.182 1.144 11.541
0.600 -3.328 11.541
-0.600 3.328 9.670
3.182 -1.144 9.670
2.582 2.183 11.541
0.000 0.000 10.606
0.000 0.000 1.637
-1.836 0.840 7.630
0.191 -2.010 7.630
-1.646 -1.170 13.581
1.646 1.170 7.630
-0.191 2.010 13.581
1.836 -0.840 13.581
0.000 0.000 19.574
```

Largest 12 diffraction maxima, sorted by position, 2θ = 10–90°:
2θ = 23.10°, I 14; 2θ = 30.03°, I 43; 2θ = 30.82°, I 65; 2θ = 30.92°, I 100; 2θ = 31.60°, I 49; 2θ = 31.95°, I 19; 2θ = 34.29°, I 18; 2θ = 36.19°, I 23; 2θ = 51.91°, I 14; 2θ = 52.77°, I 21; 2θ = 54.44°, I 21; 2θ = 59.11°, I 14

6.
Simulated powder X-ray diffraction pattern
Compound: Zn2AsPb
Radiation: Cu Ka
Structure: a DFT-relaxed cell (PBE, Alexandria)
Peak positions follow from Bragg's law for the DFT cell and can differ from measured ones.

Structure:
```
Zn2AsPb
1.0
2.006 1.158 6.534
-2.006 1.158 6.534
0.000 -2.316 6.534
Zn As Pb
2 1 1
Cartesian
0.000 0.000 0.000
0.000 0.000 4.139
0.000 0.000 11.940
0.000 0.000 8.684
```

Largest 12 diffraction maxima, sorted by position, 2θ = 10–90°:
2θ = 26.05°, I 56; 2θ = 27.25°, I 63; 2θ = 31.57°, I 58; 2θ = 34.49°, I 100; 2θ = 41.42°, I 44; 2θ = 45.22°, I 82; 2θ = 53.61°, I 24; 2θ = 58.11°, I 31; 2θ = 62.99°, I 28; 2θ = 67.74°, I 13; 2θ = 76.53°, I 24; 2θ = 83.50°, I 17

7.
Simulated powder X-ray diffraction pattern
Compound: Tb8Pr3Th2
Radiation: Cu Ka
Structure: a DFT-relaxed cell (PBE, Alexandria)
Peak positions follow from Bragg's law for the DFT cell and can differ from measured ones.

Structure:
```
Tb8Pr3Th2
1.0
6.896 0.000 0.000
2.770 8.672 0.000
2.760 0.098 14.615
Tb Pr Th
16 6 4
Cartesian
1.228 2.145 2.113
3.494 3.708 10.750
3.417 6.378 0.783
5.307 6.583 9.103
5.519 3.448 13.705
3.489 1.683 5.093
5.337 7.627 3.221
5.184 1.550 8.243
7.242 7.220 6.372
7.089 1.143 11.394
8.937 7.088 9.522
6.907 5.322 0.910
7.119 2.187 5.512
9.009 2.393 13.832
8.932 5.063 3.865
11.198 6.626 12.502
2.765 4.385 7.307
3.762 0.369 11.488
5.354 4.825 4.893
3.448 0.000 0.000
7.072 3.945 9.722
8.664 8.401 3.127
3.675 7.628 6.228
4.609 2.985 2.113
7.817 5.786 12.502
8.751 1.143 8.387
```

Largest 12 diffraction maxima, sorted by position, 2θ = 10–90°:
2θ = 29.15°, I 28; 2θ = 29.62°, I 25; 2θ = 30.36°, I 36; 2θ = 30.79°, I 20; 2θ = 31.02°, I 26; 2θ = 31.16°, I 84; 2θ = 31.51°, I 86; 2θ = 31.70°, I 77; 2θ = 32.14°, I 74; 2θ = 32.26°, I 100; 2θ = 32.82°, I 53; 2θ = 56.49°, I 23

8.
Simulated powder X-ray diffraction pattern
Compound: V7Tc3Mo2
Radiation: Cu Ka
Structure: a DFT-relaxed cell (PBE, Alexandria)
Peak positions follow from Bragg's law for the DFT cell and can differ from measured ones.

Structure:
```
V7Tc3Mo2
1.0
2.122 -10.263 0.000
2.122 10.263 0.000
0.000 0.000 4.231
V Tc Mo
7 3 2
Cartesian
0.000 0.000 0.000
2.122 8.748 2.115
2.122 4.396 0.000
2.122 1.478 0.000
2.122 -1.478 0.000
2.122 -4.396 0.000
2.122 -8.748 2.115
2.122 3.052 2.115
2.122 0.000 2.115
2.122 -3.052 2.115
2.122 7.252 0.000
2.122 -7.252 0.000
```

Largest 12 diffraction maxima, sorted by position, 2θ = 10–90°:
2θ = 17.28°, I 11; 2θ = 22.73°, I 7; 2θ = 26.05°, I 8; 2θ = 30.14°, I 13; 2θ = 32.63°, I 12; 2θ = 42.61°, I 27; 2θ = 42.75°, I 26; 2θ = 43.17°, I 100; 2θ = 61.94°, I 16; 2θ = 78.38°, I 16; 2θ = 78.58°, I 16; 2θ = 79.50°, I 14

9.
Simulated powder X-ray diffraction pattern
Compound: Na2PbI2Br2
Radiation: Cu Ka
Structure: a DFT-relaxed cell (PBE, Alexandria)
Peak positions follow from Bragg's law for the DFT cell and can differ from measured ones.

Structure:
```
Na2PbI2Br2
1.0
4.506 0.000 0.000
0.016 7.857 0.000
2.243 3.146 7.248
Na Pb I Br
2 1 2 2
Cartesian
1.110 1.855 0.376
5.655 9.147 6.872
3.383 5.501 3.624
3.386 2.793 5.320
3.379 8.209 1.928
1.128 4.591 1.642
5.637 6.412 5.607
```

Largest 12 diffraction maxima, sorted by position, 2θ = 10–90°:
2θ = 12.24°, I 42; 2θ = 13.44°, I 51; 2θ = 20.62°, I 29; 2θ = 20.66°, I 26; 2θ = 22.65°, I 28; 2θ = 24.71°, I 57; 2θ = 26.51°, I 100; 2θ = 31.81°, I 27; 2θ = 32.81°, I 42; 2θ = 34.31°, I 39; 2θ = 34.67°, I 39; 2θ = 40.00°, I 81

10.
Simulated powder X-ray diffraction pattern
Compound: Zn3TcP
Radiation: Cu Ka
Structure: a DFT-relaxed cell (PBE, Alexandria)
Peak positions follow from Bragg's law for the DFT cell and can differ from measured ones.

Structure:
```
Zn3TcP
1.0
4.535 0.000 0.000
0.000 4.535 0.000
0.000 0.000 4.535
Zn Tc P
3 1 1
Cartesian
0.000 0.000 2.267
0.000 2.267 0.000
2.267 0.000 0.000
2.267 2.267 2.267
0.000 0.000 0.000
```

Largest 10 diffraction maxima, sorted by position, 2θ = 10–90°:
2θ = 27.82°, I 12; 2θ = 34.25°, I 100; 2θ = 39.76°, I 73; 2θ = 49.22°, I 5; 2θ = 57.48°, I 47; 2θ = 65.04°, I 2; 2θ = 68.65°, I 37; 2θ = 72.16°, I 15; 2θ = 79.01°, I 2; 2θ = 85.69°, I 7

11.
Simulated powder X-ray diffraction pattern
Compound: Ca2In3Au4
Radiation: Cu Ka
Structure: a DFT-relaxed cell (PBE, Alexandria)
Peak positions follow from Bragg's law for the DFT cell and can differ from measured ones.

Structure:
```
Ca2In3Au4
1.0
3.087 -8.497 0.000
3.087 8.497 0.000
0.000 0.000 7.973
Ca In Au
4 6 8
Cartesian
3.087 6.794 7.204
3.087 1.703 3.217
3.087 -1.703 4.755
3.087 -6.794 0.769
0.000 0.000 3.986
1.543 3.954 5.980
1.543 -3.954 1.993
3.087 0.000 0.000
4.630 3.954 5.980
4.630 -3.954 1.993
3.087 5.636 4.254
1.543 1.092 5.980
1.543 -1.092 1.993
3.087 2.861 0.268
3.087 -2.861 7.705
4.630 1.092 5.980
4.630 -1.092 1.993
3.087 -5.636 3.718
```

Largest 12 diffraction maxima, sorted by position, 2θ = 10–90°:
2θ = 15.24°, I 30; 2θ = 18.92°, I 49; 2θ = 23.73°, I 27; 2θ = 24.07°, I 27; 2θ = 32.09°, I 35; 2θ = 32.85°, I 43; 2θ = 35.39°, I 33; 2θ = 36.83°, I 100; 2θ = 39.01°, I 58; 2θ = 43.36°, I 42; 2θ = 45.51°, I 19; 2θ = 64.67°, I 25

12.
Simulated powder X-ray diffraction pattern
Compound: La2CdGaPd6
Radiation: Cu Ka
Structure: a DFT-relaxed cell (PBE, Alexandria)
Peak positions follow from Bragg's law for the DFT cell and can differ from measured ones.

Structure:
```
La2CdGaPd6
1.0
5.610 0.000 0.000
2.797 5.918 0.000
2.798 -0.671 6.124
La Cd Ga Pd
2 1 1 6
Cartesian
2.804 1.355 1.502
8.401 3.892 4.623
0.000 0.000 0.000
5.602 2.624 3.062
4.212 1.319 4.813
5.606 5.139 3.442
4.206 3.937 1.325
6.998 1.310 4.800
5.599 0.108 2.682
6.993 3.929 1.311
```

Largest 12 diffraction maxima, sorted by position, 2θ = 10–90°:
2θ = 28.72°, I 45; 2θ = 29.35°, I 40; 2θ = 34.46°, I 29; 2θ = 35.24°, I 33; 2θ = 35.45°, I 27; 2θ = 37.81°, I 81; 2θ = 39.13°, I 58; 2θ = 40.13°, I 100; 2θ = 41.53°, I 49; 2θ = 43.77°, I 20; 2θ = 45.00°, I 31; 2θ = 71.38°, I 22